# 1
This entry pairs a crystal structure of Ba2UHSe5 with its simulated powder diffractogram. Radiation: Cu Kα. Structure: the PBE geometry in Alexandria.
Peak positions follow from Bragg's law for the DFT cell and can differ from measured ones.

Most intense lines, 2θ from 10° to 80°, sorted by position:
2θ 16.6, I 19; 2θ 20.1, I 10; 2θ 22.6, I 14; 2θ 29.4, I 100; 2θ 34.4, I 26; 2θ 40.9, I 10; 2θ 41.2, I 16; 2θ 41.9, I 10; 2θ 48.7, I 11; 2θ 51.4, I 10

Cell lengths 9.625, 9.625, 13.018 Å; angles 90.00, 90.00, 153.68 degrees
Atoms (fractional coordinates):
1 Ba 0.113 0.887 0.500
2 Ba 0.129 0.871 0.128
3 Ba 0.871 0.129 0.628
4 Ba 0.887 0.113 0.000
5 U 0.198 0.802 0.826
6 U 0.802 0.198 0.326
7 H 0.474 0.526 0.198
8 H 0.526 0.474 0.698
9 Se 0.062 0.938 0.862
10 Se 0.289 0.711 0.466
11 Se 0.308 0.692 0.186
12 Se 0.345 0.655 0.817
13 Se 0.498 0.502 0.591
14 Se 0.502 0.498 0.091
15 Se 0.655 0.345 0.317
16 Se 0.692 0.308 0.686
17 Se 0.711 0.289 0.966
18 Se 0.938 0.062 0.362

***

# 2
This entry pairs a crystal structure of Ba2ZnSiH with its simulated powder diffractogram. Radiation: Cu Kα. Structure: the PBE geometry in Alexandria.
Peak positions follow from Bragg's law for the DFT cell and can differ from measured ones.

Most intense lines, 2θ from 10° to 80°, sorted by position:
2θ 24.6, I 77; 2θ 26.8, I 21; 2θ 27.4, I 46; 2θ 27.7, I 57; 2θ 28.8, I 100; 2θ 34.7, I 18; 2θ 37.9, I 25; 2θ 41.8, I 26; 2θ 46.1, I 19; 2θ 50.9, I 23

Cell lengths 7.034, 4.318, 9.495 Å; angles 90.00, 109.19, 90.00 degrees
Atoms (fractional coordinates):
1 Ba 0.202 0.250 0.403
2 Ba 0.236 0.250 0.963
3 Ba 0.764 0.750 0.037
4 Ba 0.798 0.750 0.597
5 Zn 0.471 0.750 0.248
6 Zn 0.529 0.250 0.752
7 Si 0.353 0.750 0.709
8 Si 0.647 0.250 0.291
9 H 0.196 0.750 0.174
10 H 0.804 0.250 0.826

***

# 3
This entry pairs a crystal structure of Ba4SrH10 with its simulated powder diffractogram. Radiation: Cu Kα. Structure: the PBE geometry in Alexandria.
Peak positions follow from Bragg's law for the DFT cell and can differ from measured ones.

Most intense lines, 2θ from 10° to 80°, sorted by position:
2θ 19.8, I 1; 2θ 24.8, I 100; 2θ 28.7, I 49; 2θ 41.0, I 40; 2θ 48.5, I 47; 2θ 50.8, I 13; 2θ 59.4, I 6; 2θ 65.4, I 19; 2θ 67.3, I 17; 2θ 74.7, I 13

Cell lengths 18.131, 18.131, 18.131 Å; angles 13.94, 13.94, 13.94 degrees
Atoms (fractional coordinates):
1 Ba 0.103 0.103 0.103
2 Ba 0.299 0.299 0.299
3 Ba 0.701 0.701 0.701
4 Ba 0.897 0.897 0.897
5 Sr 0.500 0.500 0.500
6 H 0.052 0.052 0.052
7 H 0.153 0.153 0.153
8 H 0.248 0.248 0.248
9 H 0.350 0.350 0.350
10 H 0.453 0.453 0.453
11 H 0.547 0.547 0.547
12 H 0.650 0.650 0.650
13 H 0.752 0.752 0.752
14 H 0.847 0.847 0.847
15 H 0.948 0.948 0.948

***

# 4
This entry pairs a crystal structure of Ba2TcH6 with its simulated powder diffractogram. Radiation: Cu Kα. Structure: the PBE geometry in Alexandria.
Peak positions follow from Bragg's law for the DFT cell and can differ from measured ones.

Most intense lines, 2θ from 10° to 80°, sorted by position:
2θ 19.0, I 19; 2θ 21.9, I 23; 2θ 31.2, I 100; 2θ 36.8, I 10; 2θ 38.5, I 8; 2θ 44.7, I 19; 2θ 50.3, I 10; 2θ 55.5, I 38; 2θ 65.1, I 12; 2θ 73.9, I 17

Cell lengths 5.734, 5.734, 5.734 Å; angles 60.00, 60.00, 60.00 degrees
Atoms (fractional coordinates):
1 Ba 0.250 0.250 0.250
2 Ba 0.750 0.750 0.750
3 Tc 0.000 0.000 0.000
4 H 0.222 0.222 0.778
5 H 0.222 0.778 0.222
6 H 0.222 0.778 0.778
7 H 0.778 0.222 0.222
8 H 0.778 0.222 0.778
9 H 0.778 0.778 0.222

***

# 5
This entry pairs a crystal structure of BaTeH3 with its simulated powder diffractogram. Radiation: Cu Kα. Structure: the PBE geometry in Alexandria.
Peak positions follow from Bragg's law for the DFT cell and can differ from measured ones.

Most intense lines, 2θ from 10° to 80°, sorted by position:
2θ 22.9, I 64; 2θ 23.5, I 59; 2θ 27.4, I 64; 2θ 28.8, I 87; 2θ 29.4, I 57; 2θ 29.8, I 78; 2θ 34.9, I 100; 2θ 37.1, I 47; 2θ 41.6, I 32; 2θ 57.1, I 30

Cell lengths 5.160, 5.160, 8.707 Å; angles 93.55, 93.55, 55.97 degrees
Atoms (fractional coordinates):
1 Ba 0.182 0.182 0.251
2 Ba 0.818 0.818 0.749
3 Te 0.500 0.500 0.000
4 Te 0.500 0.500 0.500
5 H 0.134 0.134 0.819
6 H 0.145 0.145 0.731
7 H 0.300 0.300 0.579
8 H 0.700 0.700 0.421
9 H 0.855 0.855 0.269
10 H 0.866 0.866 0.181

***

# 6
This entry pairs a crystal structure of BaTeH3 with its simulated powder diffractogram. Radiation: Cu Kα. Structure: the PBE geometry in Alexandria.
Peak positions follow from Bragg's law for the DFT cell and can differ from measured ones.

Most intense lines, 2θ from 10° to 80°, sorted by position:
2θ 19.6, I 38; 2θ 19.8, I 34; 2θ 21.6, I 32; 2θ 28.0, I 94; 2θ 28.1, I 100; 2θ 29.5, I 93; 2θ 33.3, I 36; 2θ 36.9, I 33; 2θ 40.2, I 33; 2θ 45.2, I 40

Cell lengths 6.641, 6.641, 4.938 Å; angles 107.23, 107.23, 84.95 degrees
Atoms (fractional coordinates):
1 Ba 0.249 0.751 0.000
2 Ba 0.751 0.249 0.000
3 Te 0.306 0.306 0.264
4 Te 0.854 0.854 0.393
5 H 0.371 0.971 0.651
6 H 0.464 0.894 0.636
7 H 0.569 0.569 0.707
8 H 0.642 0.642 0.853
9 H 0.894 0.464 0.636
10 H 0.971 0.371 0.651

***

# 7
This entry pairs a crystal structure of BaTiH2 with its simulated powder diffractogram. Radiation: Cu Kα. Structure: the PBE geometry in Alexandria.
Peak positions follow from Bragg's law for the DFT cell and can differ from measured ones.

Most intense lines, 2θ from 10° to 80°, sorted by position:
2θ 18.9, I 23; 2θ 31.2, I 100; 2θ 36.7, I 15; 2θ 44.6, I 12; 2θ 44.7, I 6; 2θ 48.9, I 6; 2θ 55.4, I 37; 2θ 65.0, I 8; 2θ 73.7, I 11; 2θ 74.0, I 5

Cell lengths 5.747, 5.747, 8.104 Å; angles 90.00, 90.00, 90.00 degrees
Atoms (fractional coordinates):
1 Ba 0.000 0.000 0.000
2 Ba 0.000 0.500 0.250
3 Ba 0.500 0.000 0.750
4 Ba 0.500 0.500 0.500
5 Ti 0.000 0.000 0.500
6 Ti 0.000 0.500 0.750
7 Ti 0.500 0.000 0.250
8 Ti 0.500 0.500 0.000
9 H 0.138 0.250 0.625
10 H 0.250 0.638 0.875
11 H 0.250 0.862 0.375
12 H 0.362 0.250 0.125
13 H 0.638 0.750 0.125
14 H 0.750 0.138 0.375
15 H 0.750 0.362 0.875
16 H 0.862 0.750 0.625

***

# 8
This entry pairs a crystal structure of Ba4TlH with its simulated powder diffractogram. Radiation: Cu Kα. Structure: the PBE geometry in Alexandria.
Peak positions follow from Bragg's law for the DFT cell and can differ from measured ones.

Most intense lines, 2θ from 10° to 80°, sorted by position:
2θ 24.4, I 100; 2θ 25.6, I 61; 2θ 26.5, I 85; 2θ 26.8, I 55; 2θ 27.6, I 60; 2θ 30.7, I 44; 2θ 31.1, I 44; 2θ 31.8, I 51; 2θ 34.8, I 74; 2θ 45.1, I 44

Cell lengths 6.984, 6.984, 11.519 Å; angles 90.00, 90.00, 84.98 degrees
Atoms (fractional coordinates):
1 Ba 0.220 0.780 0.542
2 Ba 0.220 0.780 0.958
3 Ba 0.264 0.350 0.250
4 Ba 0.350 0.264 0.750
5 Ba 0.650 0.736 0.250
6 Ba 0.736 0.650 0.750
7 Ba 0.780 0.220 0.042
8 Ba 0.780 0.220 0.458
9 Tl 0.113 0.887 0.250
10 Tl 0.887 0.113 0.750
11 H 0.360 0.640 0.750
12 H 0.640 0.360 0.250

***

# 9
This entry pairs a crystal structure of BaTm2H with its simulated powder diffractogram. Radiation: Cu Kα. Structure: the PBE geometry in Alexandria.
Peak positions follow from Bragg's law for the DFT cell and can differ from measured ones.

Most intense lines, 2θ from 10° to 80°, sorted by position:
2θ 27.3, I 44; 2θ 29.0, I 100; 2θ 31.3, I 24; 2θ 36.0, I 49; 2θ 38.0, I 77; 2θ 51.1, I 33; 2θ 58.4, I 22; 2θ 58.9, I 31; 2θ 61.5, I 15; 2θ 65.4, I 16

Cell lengths 3.576, 3.576, 29.368 Å; angles 90.00, 90.00, 120.00 degrees
Atoms (fractional coordinates):
1 Ba 0.000 0.000 0.000
2 Ba 0.333 0.667 0.667
3 Ba 0.667 0.333 0.333
4 Tm 0.000 0.000 0.123
5 Tm 0.000 0.000 0.877
6 Tm 0.333 0.667 0.544
7 Tm 0.333 0.667 0.790
8 Tm 0.667 0.333 0.210
9 Tm 0.667 0.333 0.456
10 H 0.000 0.000 0.500
11 H 0.333 0.667 0.167
12 H 0.667 0.333 0.833

***

# 10
This entry pairs a crystal structure of BaVH with its simulated powder diffractogram. Radiation: Cu Kα. Structure: the PBE geometry in Alexandria.
Peak positions follow from Bragg's law for the DFT cell and can differ from measured ones.

Most intense lines, 2θ from 10° to 80°, sorted by position:
2θ 22.2, I 100; 2θ 27.7, I 81; 2θ 28.9, I 77; 2θ 29.0, I 33; 2θ 29.1, I 34; 2θ 33.1, I 90; 2θ 33.9, I 33; 2θ 34.1, I 32; 2θ 34.8, I 40; 2θ 40.8, I 36

Cell lengths 4.426, 5.618, 6.605 Å; angles 113.11, 90.31, 113.11 degrees
Atoms (fractional coordinates):
1 Ba 0.000 0.000 0.000
2 Ba 0.172 0.338 0.614
3 V 0.372 0.749 0.311
4 V 0.792 0.590 0.304
5 H 0.142 0.799 0.554
6 H 0.509 0.541 0.061

***

# 11
This entry pairs a crystal structure of BaYH with its simulated powder diffractogram. Radiation: Cu Kα. Structure: the PBE geometry in Alexandria.
Peak positions follow from Bragg's law for the DFT cell and can differ from measured ones.

Most intense lines, 2θ from 10° to 80°, sorted by position:
2θ 20.5, I 13; 2θ 26.0, I 49; 2θ 27.6, I 10; 2θ 29.2, I 100; 2θ 37.2, I 14; 2θ 40.6, I 15; 2θ 46.0, I 17; 2θ 47.9, I 13; 2θ 53.6, I 11; 2θ 55.4, I 11

Cell lengths 14.249, 14.249, 14.249 Å; angles 94.39, 94.39, 147.87 degrees
Atoms (fractional coordinates):
1 Ba 0.017 0.392 0.911
2 Ba 0.019 0.894 0.411
3 Ba 0.108 0.519 0.625
4 Ba 0.110 0.027 0.135
5 Ba 0.392 0.975 0.365
6 Ba 0.394 0.483 0.875
7 Ba 0.473 0.108 0.083
8 Ba 0.475 0.610 0.583
9 Ba 0.525 0.390 0.417
10 Ba 0.527 0.892 0.917
11 Ba 0.606 0.517 0.125
12 Ba 0.608 0.025 0.635
13 Ba 0.890 0.973 0.865
14 Ba 0.892 0.481 0.375
15 Ba 0.981 0.106 0.589
16 Ba 0.983 0.608 0.089
17 Y 0.106 0.728 0.825
18 Y 0.109 0.234 0.328
19 Y 0.219 0.394 0.123
20 Y 0.228 0.903 0.623
21 Y 0.266 0.094 0.875
22 Y 0.281 0.609 0.375
23 Y 0.403 0.281 0.675
24 Y 0.406 0.781 0.172
25 Y 0.594 0.219 0.828
26 Y 0.597 0.719 0.325
27 Y 0.719 0.391 0.625
28 Y 0.734 0.906 0.125
29 Y 0.772 0.097 0.377
30 Y 0.781 0.606 0.877
31 Y 0.891 0.766 0.672
32 Y 0.894 0.272 0.175
33 H 0.015 0.307 0.318
34 H 0.034 0.138 0.169
35 H 0.193 0.011 0.709
36 H 0.198 0.515 0.209
37 H 0.362 0.031 0.896
38 H 0.365 0.534 0.396
39 H 0.469 0.865 0.331
40 H 0.489 0.698 0.182
41 H 0.511 0.302 0.818
42 H 0.531 0.135 0.669
43 H 0.635 0.466 0.604
44 H 0.638 0.969 0.104
45 H 0.802 0.485 0.791
46 H 0.807 0.989 0.291
47 H 0.966 0.862 0.831
48 H 0.985 0.693 0.682

***

# 12
This entry pairs a crystal structure of Ba4Y2H with its simulated powder diffractogram. Radiation: Cu Kα. Structure: the PBE geometry in Alexandria.
Peak positions follow from Bragg's law for the DFT cell and can differ from measured ones.

Most intense lines, 2θ from 10° to 80°, sorted by position:
2θ 24.6, I 86; 2θ 27.0, I 42; 2θ 29.2, I 100; 2θ 32.6, I 57; 2θ 42.8, I 47; 2θ 46.8, I 20; 2θ 51.7, I 27; 2θ 53.6, I 20; 2θ 54.8, I 23; 2θ 56.1, I 33

Cell lengths 5.493, 5.493, 19.848 Å; angles 90.00, 90.00, 90.00 degrees
Atoms (fractional coordinates):
1 Ba 0.000 0.000 0.159
2 Ba 0.000 0.000 0.841
3 Ba 0.000 0.500 0.000
4 Ba 0.000 0.500 0.500
5 Ba 0.500 0.000 0.000
6 Ba 0.500 0.000 0.500
7 Ba 0.500 0.500 0.341
8 Ba 0.500 0.500 0.659
9 Y 0.000 0.000 0.349
10 Y 0.000 0.000 0.651
11 Y 0.500 0.500 0.151
12 Y 0.500 0.500 0.849
13 H 0.000 0.000 0.000
14 H 0.500 0.500 0.500